Simulated XRD peak list of Pr3Zn3Ga8 for CuKα, from a cell relaxed with GGA-PBE.
Lines closer than 0.1° are merged.

Crystal structure
```
data_Pr3Zn3Ga8
_symmetry_space_group_name_H-M 'C 1 2/m 1'
_symmetry_Int_Tables_number 12
_cell_length_a 16.2794
_cell_length_b 4.3562
_cell_length_c 9.9485
_cell_angle_alpha 90.00
_cell_angle_beta 127.25
_cell_angle_gamma 90.00
loop_
_symmetry_equiv_pos_as_xyz
'x,y,z'
'-x,-y,-z'
'-x,y,-z'
'x,-y,z'
'x+1/2,y+1/2,z'
'-x+1/2,-y+1/2,-z'
'-x+1/2,y+1/2,-z'
'x+1/2,-y+1/2,z'
loop_
_atom_site_label
_atom_site_type_symbol
_atom_site_fract_x
_atom_site_fract_y
_atom_site_fract_z
Pr1 Pr 0.0000 0.0000 0.0000
Pr2 Pr 0.1815 0.5000 0.6789
Zn1 Zn 0.0000 0.0000 0.5000
Zn2 Zn 0.1632 0.5000 0.2964
Ga1 Ga 0.9998 0.5000 0.2842
Ga2 Ga 0.1460 0.0000 0.4171
Ga3 Ga 0.1483 0.0000 0.8756
Ga4 Ga 0.1594 0.5000 0.0390
```

The 12 most intense peaks (2θ from 5° to 70°), in order of rising 2θ:
2θ (°)  Rel. int.  hkl
29.11  22  3 1 0
33.97  58  3 1 -3
34.26  100  1 1 2
34.43  87  5 1 -2
36.12  15  4 0 -4
41.46  50  0 2 0
41.83  39  6 0 0
42.44  12  5 1 -4
50.40  15  2 0 -5
54.79  16  3 1 3
60.36  26  6 2 0
63.67  13  3 1 -6